Record 1
# Dy5YMg
Computed powder XRD pattern, Cu Kα (weighted mean of Kα1 and Kα2). Input: a DFT-relaxed cell (PBE, Alexandria).

Atomic structure:
Lattice parameters (Å, degrees): 6.559 6.559 13.185 94.32 94.32 49.18
Element x y z (fractional)
1 Dy 0.064 0.064 0.132
2 Dy 0.065 0.065 0.632
3 Dy 0.242 0.242 0.427
4 Dy 0.242 0.242 0.927
5 Dy 0.362 0.362 0.196
6 Dy 0.638 0.638 0.804
7 Dy 0.758 0.758 0.073
8 Dy 0.758 0.758 0.573
9 Dy 0.935 0.935 0.368
10 Dy 0.936 0.936 0.868
11 Y 0.364 0.364 0.697
12 Y 0.636 0.636 0.303
13 Mg 0.500 0.500 0.000
14 Mg 0.500 0.500 0.500

Principal peaks in the range 2θ from 15° to 90°, by angle:
d [Å]	two_theta	I_rel
2.961	30.18	23.6
2.808	31.86	95.7
2.796	32.01	42.6
2.783	32.16	100.0
2.729	32.81	49.7
2.002	45.30	16.4
1.953	46.50	30.3
1.622	56.77	11.6
1.614	57.06	16.5
1.607	57.33	11.7
1.591	57.98	17.4
1.586	58.17	17.5

Record 2
# LiCeTmS4
Computed powder XRD pattern, Cu Kα (weighted mean of Kα1 and Kα2). Input: a DFT-relaxed cell (PBE, Alexandria).

Atomic structure:
Lattice parameters (Å, degrees): 7.930 7.930 7.930 121.37 118.08 90.51
Element x y z (fractional)
1 Li 0.384 0.134 0.250
2 Li 0.616 0.866 0.750
3 Ce 0.000 0.500 0.500
4 Ce 0.500 0.500 0.000
5 Tm 0.000 0.000 0.500
6 Tm 0.000 0.500 0.000
7 S 0.224 0.743 0.481
8 S 0.238 0.257 0.981
9 S 0.243 0.256 0.514
10 S 0.243 0.729 0.986
11 S 0.757 0.271 0.014
12 S 0.757 0.744 0.486
13 S 0.762 0.743 0.019
14 S 0.776 0.257 0.519

Principal peaks in the range 2θ from 15° to 90°, by angle:
d [Å]	two_theta	I_rel
3.436	25.93	35.2
3.386	26.32	24.8
3.348	26.63	63.3
3.294	27.07	23.8
3.188	27.99	21.5
2.813	31.82	100.0
2.791	32.07	49.2
2.185	41.33	20.3
2.145	42.12	19.2
2.040	44.41	19.8
1.981	45.80	72.9
1.942	46.78	24.7

Record 3
# Sr2RuO4
Computed powder XRD pattern, Cu Kα (weighted mean of Kα1 and Kα2). Input: a DFT-relaxed cell (PBE, Alexandria).

Atomic structure:
Lattice parameters (Å, degrees): 13.642 13.642 13.642 156.73 156.73 33.15
Element x y z (fractional)
1 Sr 0.050 0.300 0.750
2 Sr 0.200 0.450 0.750
3 Sr 0.300 0.050 0.250
4 Sr 0.450 0.200 0.250
5 Sr 0.550 0.800 0.750
6 Sr 0.700 0.950 0.750
7 Sr 0.800 0.550 0.250
8 Sr 0.950 0.700 0.250
9 Ru 0.125 0.875 0.250
10 Ru 0.375 0.625 0.750
11 Ru 0.625 0.375 0.250
12 Ru 0.875 0.125 0.750
13 O 0.045 0.795 0.250
14 O 0.083 0.833 0.665
15 O 0.167 0.333 0.250
16 O 0.205 0.955 0.250
17 O 0.295 0.545 0.750
18 O 0.333 0.583 0.165
19 O 0.417 0.083 0.750
20 O 0.455 0.705 0.750
21 O 0.545 0.295 0.250
22 O 0.583 0.917 0.250
23 O 0.667 0.417 0.835
24 O 0.705 0.455 0.250
25 O 0.795 0.045 0.750
26 O 0.833 0.667 0.750
27 O 0.917 0.167 0.335
28 O 0.955 0.205 0.750

Principal peaks in the range 2θ from 15° to 90°, by angle:
d [Å]	two_theta	I_rel
2.903	30.80	100.0
2.752	32.54	64.0
2.179	41.44	18.8
2.170	41.61	10.6
1.946	46.69	31.3
1.708	53.65	22.7
1.616	56.98	38.3
1.451	64.17	17.9
1.376	68.16	9.1
1.243	76.65	7.1
1.231	77.58	10.8
1.163	83.01	8.1